# 1
Calculated XRD peak list
Compound: AlAg2As
Radiation: Cu Ka
Structure: a structure optimized by DFT (PBE)
Peak positions follow from Bragg's law for the DFT cell and can differ from measured ones.

```
data_AlAg2As
_cell_length_a 3.009
_cell_length_b 4.893
_cell_length_c 4.886
_cell_angle_alpha 90.00
_cell_angle_beta 91.26
_cell_angle_gamma 90.00
_space_group_name_H-M_alt 'P 1'
_space_group_IT_number 1
loop_
_space_group_symop_operation_xyz
'x,y,z'
loop_
_atom_site_label
_atom_site_type_symbol
_atom_site_fract_x
_atom_site_fract_y
_atom_site_fract_z
_atom_site_occupancy
Al1 Al 0.000 0.000 0.000 1
Ag1 Ag 0.483 0.000 0.504 1
Ag2 Ag 0.973 0.500 0.673 1
As1 As 0.464 0.500 0.167 1
```

Main lines, low angle first (2θ from 5° to 70°):
- 4.887 Å, 2θ = 18.2°, intensity 56.6
- 3.457 Å, 2θ = 25.8°, intensity 22.5
- 2.587 Å, 2θ = 34.7°, intensity 29.5
- 2.563 Å, 2θ = 35.0°, intensity 24.5
- 2.537 Å, 2θ = 35.4°, intensity 19.9
- 2.446 Å, 2θ = 36.7°, intensity 100.0
- 2.287 Å, 2θ = 39.4°, intensity 91.7
- 2.252 Å, 2θ = 40.0°, intensity 98.6
- 2.186 Å, 2θ = 41.3°, intensity 97.4
- 1.372 Å, 2θ = 68.4°, intensity 20.6

# 2
Calculated XRD peak list
Compound: Ta2Ru4Pt
Radiation: Cu Ka
Structure: a structure optimized by DFT (PBE)
Peak positions follow from Bragg's law for the DFT cell and can differ from measured ones.

```
data_Ta2Ru4Pt
_cell_length_a 5.334
_cell_length_b 5.334
_cell_length_c 9.269
_cell_angle_alpha 90.00
_cell_angle_beta 90.00
_cell_angle_gamma 58.92
_space_group_name_H-M_alt 'P 1'
_space_group_IT_number 1
loop_
_space_group_symop_operation_xyz
'x,y,z'
loop_
_atom_site_label
_atom_site_type_symbol
_atom_site_fract_x
_atom_site_fract_y
_atom_site_fract_z
_atom_site_occupancy
Ta1 Ta 0.162 0.162 0.000 1
Ta2 Ta 0.338 0.338 0.500 1
Ta3 Ta 0.662 0.662 0.500 1
Ta4 Ta 0.838 0.838 0.000 1
Ru1 Ru 0.065 0.435 0.750 1
Ru2 Ru 0.108 0.892 0.786 1
Ru3 Ru 0.392 0.608 0.286 1
Ru4 Ru 0.435 0.065 0.250 1
Ru5 Ru 0.565 0.935 0.750 1
Ru6 Ru 0.608 0.392 0.714 1
Ru7 Ru 0.892 0.108 0.214 1
Ru8 Ru 0.935 0.565 0.250 1
Pt1 Pt 0.000 0.000 0.500 1
Pt2 Pt 0.500 0.500 0.000 1
```

Main lines, low angle first (2θ from 5° to 70°):
- 2.623 Å, 2θ = 34.2°, intensity 19.8
- 2.562 Å, 2θ = 35.0°, intensity 100.0
- 2.318 Å, 2θ = 38.8°, intensity 64.3
- 2.283 Å, 2θ = 39.5°, intensity 62.5
- 2.218 Å, 2θ = 40.7°, intensity 29.0
- 2.076 Å, 2θ = 43.6°, intensity 17.1
- 2.019 Å, 2θ = 44.9°, intensity 77.6
- 1.522 Å, 2θ = 60.9°, intensity 14.3
- 1.503 Å, 2θ = 61.7°, intensity 23.6
- 1.366 Å, 2θ = 68.7°, intensity 12.7